(1)
For AuIO4, the GGA-PBE geometry in Alexandria gives the simulated powder X-ray diffraction pattern in this record (Cu Kα, 1.54184 Å).
Intensities are scaled so that the largest is 100.

Structure:
```
data_AuIO4
_chemical_formula_sum 'Au2 I2 O8'
_cell_length_a 5.7759
_cell_length_b 4.8954
_cell_length_c 5.9532
_cell_angle_alpha 90.00
_cell_angle_beta 90.00
_cell_angle_gamma 90.00
_space_group_name_H-M_alt 'P n c 2'
_space_group_IT_number 30
_space_group_name_Hall 'P 2 -2bc'
loop_
_atom_site_label
_atom_site_type_symbol
_atom_site_fract_x
_atom_site_fract_y
_atom_site_fract_z
_atom_site_occupancy
Au1 Au 0.0000 0.0000 0.0000 1
I1 I 0.5000 0.0000 0.3167 1
O1 O 0.1711 0.2230 0.2624 1
O2 O 0.3722 0.7426 0.0199 1
```

Most intense lines, 10° ≤ 2θ ≤ 80°, in order of falling intensity:
| 2theta | Rel. int. |
| --- | --- |
| 28.21 | 100 |
| 23.53 | 37 |
| 50.82 | 29 |
| 33.88 | 28 |
| 30.97 | 24 |
| 39.25 | 19 |
| 53.40 | 17 |
| 48.77 | 17 |
| 59.60 | 17 |
| 49.57 | 15 |

***

(2)
For Pm2PrTm7, the GGA-PBE geometry in Alexandria gives the simulated powder X-ray diffraction pattern in this record (Cu Kα, 1.54184 Å).
Intensities are scaled so that the largest is 100.

Structure:
```
data_Pm2PrTm7
_chemical_formula_sum 'Pm2 Pr1 Tm7'
_cell_length_a 6.1487
_cell_length_b 7.0688
_cell_length_c 7.8868
_cell_angle_alpha 102.68
_cell_angle_beta 97.38
_cell_angle_gamma 106.78
_space_group_name_H-M_alt 'P -1'
_space_group_IT_number 2
_space_group_name_Hall '-P 1'
loop_
_atom_site_label
_atom_site_type_symbol
_atom_site_fract_x
_atom_site_fract_y
_atom_site_fract_z
_atom_site_occupancy
Pm1 Pm 0.1014 0.2024 0.2032 1
Pr1 Pr 0.5000 0.0000 0.0000 1
Tm1 Tm 0.0984 0.6996 0.2018 1
Tm2 Tm 0.2994 0.5981 0.5977 1
Tm3 Tm 0.3009 0.1007 0.5994 1
Tm4 Tm 0.5000 0.5000 0.0000 1
```

Most intense lines, 10° ≤ 2θ ≤ 80°, in order of falling intensity:
| 2theta | Rel. int. |
| --- | --- |
| 30.90 | 100 |
| 35.85 | 67 |
| 30.93 | 50 |
| 31.07 | 49 |
| 51.77 | 36 |
| 35.97 | 33 |
| 61.37 | 29 |
| 51.60 | 24 |
| 61.50 | 21 |
| 61.26 | 14 |

***

(3)
For Tb4PrSmSe8, the GGA-PBE geometry in Alexandria gives the simulated powder X-ray diffraction pattern in this record (Cu Kα, 1.54184 Å).
Intensities are scaled so that the largest is 100.

Structure:
```
data_Tb4PrSmSe8
_chemical_formula_sum 'Tb12 Pr3 Sm3 Se24'
_cell_length_a 8.5162
_cell_length_b 8.5162
_cell_length_c 20.9750
_cell_angle_alpha 90.00
_cell_angle_beta 90.00
_cell_angle_gamma 120.00
_space_group_name_H-M_alt 'R 3 m'
_space_group_IT_number 160
_space_group_name_Hall 'R 3 -2"'
loop_
_atom_site_label
_atom_site_type_symbol
_atom_site_fract_x
_atom_site_fract_y
_atom_site_fract_z
_atom_site_occupancy
Tb1 Tb 0.0000 0.0000 0.0000 1
Tb2 Tb 0.0023 0.5012 0.8747 1
Pr1 Pr 0.0000 0.0000 0.7484 1
Sm1 Sm 0.0000 0.0000 0.3735 1
Se1 Se 0.0000 0.0000 0.1319 1
Se2 Se 0.0000 0.0000 0.6126 1
Se3 Se 0.0259 0.5130 0.1295 1
Se4 Se 0.1743 0.3485 0.9538 1
```

Most intense lines, 10° ≤ 2θ ≤ 80°, in order of falling intensity:
| 2theta | Rel. int. |
| --- | --- |
| 24.47 | 100 |
| 29.62 | 54 |
| 42.46 | 53 |
| 42.30 | 53 |
| 38.80 | 38 |
| 20.82 | 27 |
| 61.48 | 17 |
| 77.57 | 17 |
| 38.71 | 16 |
| 12.70 | 14 |

***

(4)
For Y2Fe3Si5, the GGA-PBE geometry in Alexandria gives the simulated powder X-ray diffraction pattern in this record (Cu Kα, 1.54184 Å).
Intensities are scaled so that the largest is 100.

Structure:
```
data_Y2Fe3Si5
_chemical_formula_sum 'Y8 Fe12 Si20'
_cell_length_a 10.3628
_cell_length_b 10.3628
_cell_length_c 5.4897
_cell_angle_alpha 90.00
_cell_angle_beta 90.00
_cell_angle_gamma 90.00
_space_group_name_H-M_alt 'P 4/m n c'
_space_group_IT_number 128
_space_group_name_Hall '-P 4 2n'
loop_
_atom_site_label
_atom_site_type_symbol
_atom_site_fract_x
_atom_site_fract_y
_atom_site_fract_z
_atom_site_occupancy
Y1 Y 0.0697 0.2361 0.0000 1
Fe1 Fe 0.0000 0.5000 0.2500 1
Fe2 Fe 0.1231 0.8548 0.5000 1
Si1 Si 0.0000 0.0000 0.2702 1
Si2 Si 0.0218 0.3201 0.5000 1
Si3 Si 0.1771 0.6771 0.2500 1
```

Most intense lines, 10° ≤ 2θ ≤ 80°, in order of falling intensity:
| 2theta | Rel. int. |
| --- | --- |
| 31.80 | 100 |
| 41.09 | 94 |
| 39.43 | 82 |
| 38.86 | 43 |
| 35.72 | 41 |
| 38.10 | 40 |
| 32.62 | 31 |
| 49.98 | 30 |
| 62.81 | 23 |
| 65.28 | 23 |

***

(5)
For PmH6Au2, the GGA-PBE geometry in Alexandria gives the simulated powder X-ray diffraction pattern in this record (Cu Kα, 1.54184 Å).
Intensities are scaled so that the largest is 100.

Structure:
```
data_PmH6Au2
_chemical_formula_sum 'Pm8 H48 Au16'
_cell_length_a 9.1039
_cell_length_b 10.6102
_cell_length_c 8.1173
_cell_angle_alpha 90.00
_cell_angle_beta 90.00
_cell_angle_gamma 90.00
_space_group_name_H-M_alt 'F d d 2'
_space_group_IT_number 43
_space_group_name_Hall 'F 2 -2d'
loop_
_atom_site_label
_atom_site_type_symbol
_atom_site_fract_x
_atom_site_fract_y
_atom_site_fract_z
_atom_site_occupancy
Pm1 Pm 0.0000 0.0000 0.0000 1
H1 H 0.0425 0.1023 0.2604 1
H2 H 0.0636 0.1670 0.7499 1
H3 H 0.1122 0.1989 0.0337 1
Au1 Au 0.0637 0.3056 0.8870 1
```

Most intense lines, 10° ≤ 2θ ≤ 80°, in order of falling intensity:
| 2theta | Rel. int. |
| --- | --- |
| 29.24 | 100 |
| 32.61 | 84 |
| 27.67 | 63 |
| 29.49 | 58 |
| 35.63 | 37 |
| 43.26 | 31 |
| 40.72 | 31 |
| 52.28 | 28 |
| 58.03 | 26 |
| 34.08 | 25 |

***

(6)
For EuZrF7, the GGA-PBE geometry in Alexandria gives the simulated powder X-ray diffraction pattern in this record (Cu Kα, 1.54184 Å).
Intensities are scaled so that the largest is 100.

Structure:
```
data_EuZrF7
_chemical_formula_sum 'Eu2 Zr2 F14'
_cell_length_a 6.2057
_cell_length_b 5.9485
_cell_length_c 8.4737
_cell_angle_alpha 90.00
_cell_angle_beta 102.72
_cell_angle_gamma 90.00
_space_group_name_H-M_alt 'P 1 21 1'
_space_group_IT_number 4
_space_group_name_Hall 'P 2yb'
loop_
_atom_site_label
_atom_site_type_symbol
_atom_site_fract_x
_atom_site_fract_y
_atom_site_fract_z
_atom_site_occupancy
Eu1 Eu 0.1564 0.0000 0.1881 1
Zr1 Zr 0.3142 0.0057 0.7236 1
F1 F 0.0327 0.7139 0.0138 1
F2 F 0.0756 0.7661 0.7086 1
F3 F 0.0964 0.2671 0.7090 1
F4 F 0.2692 0.0012 0.4787 1
F5 F 0.3577 0.0091 0.9694 1
F6 F 0.4367 0.2727 0.2545 1
F7 F 0.4417 0.7419 0.2629 1
```

Most intense lines, 10° ≤ 2θ ≤ 80°, in order of falling intensity:
| 2theta | Rel. int. |
| --- | --- |
| 20.94 | 100 |
| 21.50 | 35 |
| 27.71 | 29 |
| 46.51 | 25 |
| 25.03 | 23 |
| 45.77 | 19 |
| 42.32 | 16 |
| 26.26 | 14 |
| 44.89 | 14 |
| 22.02 | 12 |